# Ni15Bi
Computed PXRD pattern, λ = 1.5418 Å (Cu Kα). Input: a PBE-relaxed structure.

Structure:
```
data_Ni15Bi
_chemical_formula_sum 'Ni30 Bi2'
_cell_length_a 4.270
_cell_length_b 33.694
_cell_length_c 4.270
_cell_angle_alpha 90.00
_cell_angle_beta 108.54
_cell_angle_gamma 90.00
_symmetry_space_group_name_H-M 'P 1 2/c 1'
_symmetry_Int_Tables_number 13
_symmetry_space_group_name_Hall '-P 2yc'
loop_
_atom_site_label
_atom_site_fract_x
_atom_site_fract_y
_atom_site_fract_z
Ni1 0.000 0.018 0.250
Ni2 0.000 0.055 0.750
Ni3 0.000 0.092 0.250
Ni4 0.000 0.129 0.750
Ni5 0.000 0.165 0.250
Ni6 0.000 0.202 0.750
Ni7 0.000 0.240 0.250
Ni8 0.000 0.273 0.750
Ni9 0.500 0.018 0.750
Ni10 0.500 0.055 0.250
Ni11 0.500 0.092 0.750
Ni12 0.500 0.129 0.250
Ni13 0.500 0.165 0.750
Ni14 0.500 0.202 0.250
Ni15 0.500 0.240 0.750
Bi1 0.500 0.293 0.250
```

The 6 most intense peaks (15° ≤ 2θ ≤ 90°), sorted by position:
| h k l | 2θ (°) | I_rel |
| --- | --- | --- |
| 1 13 -1 | 43.6 | 60 |
| 2 0 0 | 44.8 | 100 |
| 1 14 -1 | 45.9 | 29 |
| 1 13 1 | 50.8 | 35 |
| 1 14 1 | 52.9 | 28 |
| 2 0 2 | 76.4 | 29 |